Diffraction record for Pm14DyZr. The powder XRD pattern is simulated, not measured: it uses a PBE-relaxed structure and Cu Ka.
No peak broadening, texture or thermal motion is included.

Cell and atoms:
```
data_Pm14DyZr
_cell_length_a 7.2291
_cell_length_b 7.2291
_cell_length_c 10.2033
_cell_angle_alpha 90.00
_cell_angle_beta 90.00
_cell_angle_gamma 90.00
_space_group_name_H-M_alt 'P 4/m m m'
_space_group_IT_number 123
_space_group_name_Hall '-P 4 2'
loop_
_atom_site_label
_atom_site_type_symbol
_atom_site_fract_x
_atom_site_fract_y
_atom_site_fract_z
_atom_site_occupancy
Pm1 Pm 0.0000 0.0000 0.0000 1
Pm2 Pm 0.0000 0.5000 0.0000 1
Pm3 Pm 0.0000 0.5000 0.5000 1
Pm4 Pm 0.2449 0.2449 0.2569 1
Pm5 Pm 0.5000 0.5000 0.0000 1
Dy1 Dy 0.5000 0.5000 0.5000 1
Zr1 Zr 0.0000 0.0000 0.5000 1
```

Peak list (7 most intense, 2θ = 10–80°, most intense first)
- 30.3 deg, I 100
- 35.1 deg, I 51
- 60.1 deg, I 42
- 50.5 deg, I 36
- 63.0 deg, I 12
- 74.2 deg, I 4
- 74.4 deg, I 2